1.
This entry pairs a crystal structure of PrTm5Cd6 with its computed powder diffraction line list. Radiation: Cu Kα (weighted mean of Kα1 and Kα2). Structure: a cell relaxed with GGA-PBE.
Neutral-atom scattering factors, no anomalous dispersion.

Largest 10 diffraction maxima, by angle, 2θ = 15–90°:
two_theta, d_spacing, Rel. int.
33.96, 2.640, 100
34.16, 2.625, 20
48.61, 1.873, 7
48.94, 1.861, 14
60.62, 1.527, 7
60.77, 1.524, 22
61.03, 1.518, 14
71.46, 1.320, 11
81.26, 1.184, 6
81.77, 1.178, 6

Structure:
a = 8.3413 Å, b = 8.3413 Å, c = 7.4922 Å
α = 90.00°, β = 90.00°, γ = 143.32°
Fractional positions:
Pr 0.0000 0.0000 0.0000
Tm 0.0000 0.0000 0.5000
Tm 0.3310 0.6690 0.0000
Tm 0.3366 0.6634 0.5000
Tm 0.6634 0.3366 0.5000
Tm 0.6690 0.3310 0.0000
Cd 0.1707 0.8293 0.2583
Cd 0.1707 0.8293 0.7417
Cd 0.5000 0.5000 0.2576
Cd 0.5000 0.5000 0.7424
Cd 0.8293 0.1707 0.2583
Cd 0.8293 0.1707 0.7417

2.
This entry pairs a crystal structure of PrTm5Cd2 with its computed powder diffraction line list. Radiation: Cu Kα (weighted mean of Kα1 and Kα2). Structure: a cell relaxed with GGA-PBE.
Neutral-atom scattering factors, no anomalous dispersion.

Largest 10 diffraction maxima, by angle, 2θ = 15–90°:
two_theta, d_spacing, Rel. int.
31.26, 2.861, 93
32.83, 2.728, 60
33.29, 2.691, 100
34.92, 2.569, 39
36.29, 2.475, 18
39.04, 2.307, 17
48.68, 1.870, 31
51.02, 1.790, 19
60.16, 1.538, 25
62.29, 1.491, 33

Structure:
a = 8.3388 Å, b = 8.3388 Å, c = 8.3388 Å
α = 155.21°, β = 103.92°, γ = 81.47°
Fractional positions:
Pr 0.0000 0.0000 0.0000
Tm 0.1403 0.3659 0.7744
Tm 0.4085 0.6341 0.7744
Tm 0.5000 0.0000 0.5000
Tm 0.5915 0.3659 0.2256
Tm 0.8597 0.6341 0.2256
Cd 0.2446 0.7446 0.5000
Cd 0.7554 0.2554 0.5000

3.
This entry pairs a crystal structure of Pr6TmCd5 with its computed powder diffraction line list. Radiation: Cu Kα (weighted mean of Kα1 and Kα2). Structure: a cell relaxed with GGA-PBE.
Neutral-atom scattering factors, no anomalous dispersion.

Largest 10 diffraction maxima, by angle, 2θ = 15–90°:
two_theta, d_spacing, Rel. int.
32.04, 2.794, 20
32.49, 2.755, 100
46.28, 1.962, 14
46.94, 1.936, 7
57.39, 1.606, 15
57.97, 1.591, 22
58.25, 1.584, 7
68.05, 1.378, 11
77.00, 1.238, 3
77.93, 1.226, 6

Structure:
a = 5.5092 Å, b = 7.7433 Å, c = 8.8253 Å
α = 90.00°, β = 108.24°, γ = 90.00°
Fractional positions:
Pr 0.0000 0.2359 0.0000
Pr 0.0000 0.7641 0.0000
Pr 0.3306 0.2506 0.6574
Pr 0.3306 0.7494 0.6574
Pr 0.6694 0.2506 0.3426
Pr 0.6694 0.7494 0.3426
Tm 0.5000 0.5000 0.0000
Cd 0.1538 0.5000 0.3121
Cd 0.1634 0.0000 0.3328
Cd 0.5000 0.0000 0.0000
Cd 0.8366 0.0000 0.6672
Cd 0.8462 0.5000 0.6879

4.
This entry pairs a crystal structure of Pr12Tm5Cd2 with its computed powder diffraction line list. Radiation: Cu Kα (weighted mean of Kα1 and Kα2). Structure: a cell relaxed with GGA-PBE.
Neutral-atom scattering factors, no anomalous dispersion.

Largest 10 diffraction maxima, by angle, 2θ = 15–90°:
two_theta, d_spacing, Rel. int.
28.17, 3.168, 42
29.80, 2.999, 36
30.04, 2.974, 64
31.03, 2.882, 46
31.20, 2.866, 43
31.39, 2.850, 100
31.60, 2.831, 63
32.80, 2.731, 75
35.43, 2.534, 48
35.85, 2.505, 36

Structure:
a = 9.1227 Å, b = 9.1227 Å, c = 8.6437 Å
α = 92.45°, β = 92.45°, γ = 61.48°
Fractional positions:
Pr 0.0600 0.0600 0.3294
Pr 0.0691 0.6798 0.3300
Pr 0.1646 0.5354 0.7670
Pr 0.3202 0.9309 0.6700
Pr 0.4181 0.4181 0.1177
Pr 0.4646 0.8354 0.2330
Pr 0.5354 0.1646 0.7670
Pr 0.5819 0.5819 0.8823
Pr 0.6798 0.0691 0.3300
Pr 0.8354 0.4646 0.2330
Pr 0.9309 0.3202 0.6700
Pr 0.9400 0.9400 0.6706
Tm 0.1943 0.1943 0.0184
Tm 0.2686 0.2686 0.4219
Tm 0.5000 0.5000 0.5000
Tm 0.7314 0.7314 0.5781
Tm 0.8057 0.8057 0.9816
Cd 0.1683 0.8317 0.0000
Cd 0.8317 0.1683 0.0000

5.
This entry pairs a crystal structure of PrTmCd14 with its computed powder diffraction line list. Radiation: Cu Kα (weighted mean of Kα1 and Kα2). Structure: a cell relaxed with GGA-PBE.
Neutral-atom scattering factors, no anomalous dispersion.

Largest 10 diffraction maxima, by angle, 2θ = 15–90°:
two_theta, d_spacing, Rel. int.
28.85, 3.094, 1
34.25, 2.618, 100
38.32, 2.349, 37
42.52, 2.126, 13
55.31, 1.661, 12
58.56, 1.576, 20
66.69, 1.402, 27
72.17, 1.309, 10
72.50, 1.304, 10
82.05, 1.174, 4

Structure:
a = 6.6436 Å, b = 6.6436 Å, c = 8.5053 Å
α = 90.00°, β = 90.00°, γ = 90.00°
Fractional positions:
Pr 0.0000 0.0000 0.0000
Tm 0.5000 0.5000 0.0000
Cd 0.0000 0.0000 0.5000
Cd 0.0000 0.5000 0.0000
Cd 0.0000 0.5000 0.5000
Cd 0.2545 0.2545 0.2600
Cd 0.2545 0.2545 0.7400
Cd 0.2545 0.7455 0.2600
Cd 0.2545 0.7455 0.7400
Cd 0.5000 0.0000 0.0000
Cd 0.5000 0.0000 0.5000
Cd 0.5000 0.5000 0.5000
Cd 0.7455 0.2545 0.2600
Cd 0.7455 0.2545 0.7400
Cd 0.7455 0.7455 0.2600
Cd 0.7455 0.7455 0.7400

6.
This entry pairs a crystal structure of Pr2Y3Cd3 with its computed powder diffraction line list. Radiation: Cu Kα (weighted mean of Kα1 and Kα2). Structure: a cell relaxed with GGA-PBE.
Neutral-atom scattering factors, no anomalous dispersion.

Largest 10 diffraction maxima, by angle, 2θ = 15–90°:
two_theta, d_spacing, Rel. int.
31.55, 2.836, 20
32.88, 2.724, 100
33.43, 2.681, 27
46.63, 1.948, 13
47.74, 1.905, 10
57.03, 1.615, 8
59.40, 1.556, 18
59.53, 1.553, 10
68.94, 1.362, 8
79.34, 1.208, 7

Structure:
a = 11.8094 Å, b = 11.8094 Å, c = 11.8094 Å
α = 161.43°, β = 153.76°, γ = 32.34°
Fractional positions:
Pr 0.2308 0.2308 0.0000
Pr 0.7692 0.7692 0.0000
Y 0.0000 0.0000 0.0000
Y 0.3810 0.8810 0.5000
Y 0.6190 0.1190 0.5000
Cd 0.1122 0.6122 0.5000
Cd 0.5000 0.5000 0.0000
Cd 0.8878 0.3878 0.5000

7.
This entry pairs a crystal structure of Pr4Y2Cd with its computed powder diffraction line list. Radiation: Cu Kα (weighted mean of Kα1 and Kα2). Structure: a cell relaxed with GGA-PBE.
Neutral-atom scattering factors, no anomalous dispersion.

Largest 10 diffraction maxima, by angle, 2θ = 15–90°:
two_theta, d_spacing, Rel. int.
29.14, 3.064, 22
29.65, 3.013, 66
30.87, 2.896, 100
32.34, 2.768, 45
33.05, 2.711, 16
35.66, 2.517, 14
36.40, 2.468, 34
49.48, 1.842, 24
60.69, 1.526, 28
61.57, 1.506, 14

Structure:
a = 8.6651 Å, b = 8.6651 Å, c = 8.7645 Å
α = 116.94°, β = 116.94°, γ = 23.92°
Fractional positions:
Pr 0.0830 0.0830 0.2043
Pr 0.3692 0.3692 0.1105
Pr 0.6308 0.6308 0.8895
Pr 0.9170 0.9170 0.7957
Y 0.2162 0.2162 0.6386
Y 0.7838 0.7838 0.3614
Cd 0.0000 0.0000 0.5000

8.
This entry pairs a crystal structure of Pr4YCd2 with its computed powder diffraction line list. Radiation: Cu Kα (weighted mean of Kα1 and Kα2). Structure: a cell relaxed with GGA-PBE.
Neutral-atom scattering factors, no anomalous dispersion.

Largest 10 diffraction maxima, by angle, 2θ = 15–90°:
two_theta, d_spacing, Rel. int.
28.58, 3.124, 57
29.31, 3.047, 100
34.23, 2.620, 28
34.60, 2.592, 48
34.83, 2.576, 50
45.29, 2.002, 17
46.00, 1.973, 16
48.19, 1.889, 14
59.16, 1.562, 14
60.72, 1.525, 14

Structure:
a = 8.4147 Å, b = 8.4147 Å, c = 8.4147 Å
α = 110.28°, β = 110.28°, γ = 107.86°
Fractional positions:
Pr 0.1427 0.7255 0.7430
Pr 0.1497 0.2325 0.7570
Pr 0.2745 0.0175 0.4172
Pr 0.4755 0.3927 0.2430
Pr 0.6003 0.8573 0.5828
Pr 0.6073 0.8503 0.0828
Pr 0.7675 0.5245 0.9172
Pr 0.9825 0.3997 0.2570
Y 0.0000 0.0000 0.0000
Y 0.7500 0.2500 0.5000
Cd 0.2253 0.6250 0.1003
Cd 0.3750 0.4753 0.6003
Cd 0.5247 0.1250 0.8997
Cd 0.8750 0.7747 0.3997